Record 1
The following is a theoretical X-ray powder pattern of HoZnNO. It was derived from a DFT-relaxed cell (PBE, OQMD), using Cu Kα (λ = 1.5418 Å).
Lines closer than 0.1° are merged.

Largest 8 diffraction maxima, in order of rising 2θ, 2θ = 10–90°:
2θ (°)	Rel. int.	index
26.5	19.4	1 0 0
33.6	100.0	1 0 1
37.8	60.7	1 1 0
41.1	23.8	0 0 2
54.5	20.1	2 0 0
57.1	34.8	1 1 2
65.6	30.5	2 1 1
70.5	17.9	2 0 2

abc: 3.365 3.365 4.390
angles: 90.00 90.00 90.00
Fractional positions:
Ho  0.000  0.000  0.000
Zn  0.500  0.500  0.500
N  0.500  0.500  0.000
O  0.000  0.000  0.500

---

Record 2
The following is a theoretical X-ray powder pattern of Fe3CuTe5. It was derived from a DFT-relaxed cell (PBE, OQMD), using Cu Kα (λ = 1.5418 Å).
Lines closer than 0.1° are merged.

Largest 8 diffraction maxima, in order of rising 2θ, 2θ = 10–90°:
2θ (°)	Rel. int.	index
11.5	35.4	0 0 1
29.6	88.9	1 0 2
32.1	100.0	1 1 0
39.9	34.5	1 1 2
44.2	77.1	2 0 2
55.7	29.7	2 1 2
58.1	32.3	1 1 4
67.2	21.3	2 2 0

abc: 5.575 5.575 7.725
angles: 90.00 90.00 120.00
Fractional positions:
Fe  0.000  0.500  0.000
Fe  0.500  0.000  0.000
Fe  0.500  0.500  0.000
Cu  0.000  0.000  0.500
Te  0.000  0.000  0.000
Te  0.333  0.667  0.265
Te  0.333  0.667  0.735
Te  0.667  0.333  0.265
Te  0.667  0.333  0.735

---

Record 3
The following is a theoretical X-ray powder pattern of Pr5Zr3Ni16As12. It was derived from a DFT-relaxed cell (PBE, OQMD), using Cu Kα (λ = 1.5418 Å).
Lines closer than 0.1° are merged.

Largest 8 diffraction maxima, in order of rising 2θ, 2θ = 10–90°:
2θ (°)	Rel. int.	index
32.9	29.9	3 0 1
35.8	100.0	2 2 1
36.8	68.0	3 1 1
37.0	28.0	4 1 0
45.3	43.9	0 0 2
49.1	27.0	6 0 0
55.2	20.8	4 3 1
69.0	19.0	6 0 2

abc: 12.844 12.844 4.006
angles: 90.00 90.00 120.00
Fractional positions:
Pr  0.000  0.189  0.000
Pr  0.189  0.000  0.000
Pr  0.333  0.667  0.500
Pr  0.667  0.333  0.500
Pr  0.811  0.811  0.000
Zr  0.000  0.571  0.500
Zr  0.429  0.429  0.500
Zr  0.571  0.000  0.500
Ni  0.000  0.000  0.500
Ni  0.000  0.725  0.000
Ni  0.119  0.486  0.000
Ni  0.187  0.808  0.500
Ni  0.192  0.380  0.500
Ni  0.275  0.275  0.000
Ni  0.367  0.881  0.000
Ni  0.380  0.192  0.500
Ni  0.486  0.119  0.000
Ni  0.514  0.633  0.000
Ni  0.620  0.813  0.500
Ni  0.633  0.514  0.000
Ni  0.725  0.000  0.000
Ni  0.808  0.187  0.500
Ni  0.813  0.620  0.500
Ni  0.881  0.367  0.000
As  0.000  0.364  0.500
As  0.000  0.819  0.500
As  0.172  0.698  0.000
As  0.181  0.181  0.500
As  0.302  0.474  0.000
As  0.364  0.000  0.500
As  0.474  0.302  0.000
As  0.526  0.828  0.000
As  0.636  0.636  0.500
As  0.698  0.172  0.000
As  0.819  0.000  0.500
As  0.828  0.526  0.000